# KLiPdS3
Theoretical powder diffractogram, Cu Kα (λ = 1.5418 Å). Input: a cell relaxed with GGA-PBE.

Most intense lines, 5° ≤ 2θ ≤ 70°, sorted by position:
| two_theta | Rel. int. |
| --- | --- |
| 12.91 | 1000 |
| 22.98 | 816 |
| 30.61 | 446 |
| 32.10 | 294 |
| 36.23 | 509 |
| 38.39 | 305 |
| 40.61 | 332 |
| 45.13 | 479 |

Crystal structure
```
data_KLiPdS3
_cell_length_a 7.1144
_cell_length_b 7.1144
_cell_length_c 9.3785
_cell_angle_alpha 90.00
_cell_angle_beta 90.00
_cell_angle_gamma 149.04
_symmetry_space_group_name_H-M 'P 1'
_symmetry_Int_Tables_number 1
_symmetry_space_group_name_Hall 'P 1'
loop_
_atom_site_label
_atom_site_fract_x
_atom_site_fract_y
_atom_site_fract_z
_atom_site_occupancy
K1 0.2470 0.7530 0.7500 1
K2 0.7530 0.2470 0.2500 1
Li1 0.4760 0.5240 0.2500 1
Li2 0.5240 0.4760 0.7500 1
Pd1 0.0000 0.0000 0.0000 1
Pd2 0.0000 0.0000 0.5000 1
S1 0.0695 0.9305 0.2500 1
S2 0.3893 0.6107 0.0337 1
S3 0.3893 0.6107 0.4663 1
S4 0.6107 0.3893 0.5337 1
S5 0.6107 0.3893 0.9663 1
S6 0.9305 0.0695 0.7500 1
```